For La4Tb2Dy, the PBE geometry in Alexandria gives the computed powder diffraction line list in this record (CuKα).
Neutral-atom scattering factors, no anomalous dispersion.

Most intense lines, 10° ≤ 2θ ≤ 80°, sorted by position:
2θ 28.12, rel. 13, hkl 0 2 2; 2θ 29.42, rel. 13, hkl 4 0 0; 2θ 29.71, rel. 100, hkl 1 7 1; 2θ 30.32, rel. 28, hkl 4 2 0; 2θ 31.01, rel. 67, hkl 2 0 2; 2θ 31.68, rel. 28, hkl 3 5 1; 2θ 31.87, rel. 21, hkl 2 2 2; 2θ 32.88, rel. 10, hkl 4 4 0; 2θ 36.48, rel. 30, hkl 3 7 1; 2θ 49.67, rel. 21, hkl 1 7 3; 2θ 54.21, rel. 16, hkl 2 14 0; 2θ 59.57, rel. 14, hkl 0 14 2

Atomic structure:
```
data_La4Tb2Dy
_cell_length_a 12.1447
_cell_length_b 24.6669
_cell_length_c 6.5545
_cell_angle_alpha 90.00
_cell_angle_beta 90.00
_cell_angle_gamma 90.00
_space_group_name_H-M_alt 'F d d 2'
_space_group_IT_number 43
_space_group_name_Hall 'F 2 -2d'
loop_
_atom_site_label
_atom_site_type_symbol
_atom_site_fract_x
_atom_site_fract_y
_atom_site_fract_z
_atom_site_occupancy
La1 La 0.0466 0.0712 0.0000 1
La2 La 0.0685 0.1439 0.5308 1
Tb1 Tb 0.0211 0.2169 0.0488 1
Dy1 Dy 0.0000 0.0000 0.5008 1
```


For LaTb7Dy3, the PBE geometry in Alexandria gives the computed powder diffraction line list in this record (CuKα).
Neutral-atom scattering factors, no anomalous dispersion.

Most intense lines, 10° ≤ 2θ ≤ 80°, sorted by position:
2θ 14.42, rel. 5, hkl 1 0 0; 2θ 17.71, rel. 7, hkl 1 0 1; 2θ 25.17, rel. 5, hkl 0 1 2; 2θ 30.90, rel. 100, hkl 0 2 1; 2θ 31.04, rel. 33, hkl 0 0 3; 2θ 35.87, rel. 67, hkl 2 0 2; 2θ 51.55, rel. 24, hkl 2 2 0; 2θ 51.72, rel. 24, hkl 0 2 4; 2θ 61.37, rel. 42, hkl 4 0 1; 2θ 61.55, rel. 14, hkl 2 0 5; 2θ 64.39, rel. 12, hkl 0 4 2; 2θ 76.03, rel. 8, hkl 4 0 4

Atomic structure:
```
data_LaTb7Dy3
_cell_length_a 7.0919
_cell_length_b 7.0919
_cell_length_c 8.6447
_cell_angle_alpha 90.00
_cell_angle_beta 90.00
_cell_angle_gamma 120.00
_space_group_name_H-M_alt 'P 3 m 1'
_space_group_IT_number 156
_space_group_name_Hall 'P 3 -2"'
loop_
_atom_site_label
_atom_site_type_symbol
_atom_site_fract_x
_atom_site_fract_y
_atom_site_fract_z
_atom_site_occupancy
La1 La 0.0000 0.0000 0.0000 1
Tb1 Tb 0.1657 0.3315 0.3302 1
Tb2 Tb 0.5012 0.0024 0.9948 1
Tb3 Tb 0.6667 0.3333 0.3253 1
Dy1 Dy 0.3350 0.1675 0.6596 1
```


For La2Tb3Dy, the PBE geometry in Alexandria gives the computed powder diffraction line list in this record (CuKα).
Neutral-atom scattering factors, no anomalous dispersion.

Most intense lines, 10° ≤ 2θ ≤ 80°, sorted by position:
2θ 30.16, rel. 100, hkl 0 2 2; 2θ 30.29, rel. 99, hkl 2 1 1; 2θ 34.94, rel. 34, hkl 1 2 -1; 2θ 35.10, rel. 67, hkl 1 1 4; 2θ 50.35, rel. 60, hkl 2 3 3; 2θ 50.65, rel. 12, hkl 3 0 3; 2θ 59.75, rel. 22, hkl 3 3 0; 2θ 59.85, rel. 36, hkl 1 3 6; 2θ 60.09, rel. 28, hkl 4 0 0; 2θ 62.71, rel. 12, hkl 0 4 4; 2θ 63.01, rel. 12, hkl 4 2 2; 2θ 73.80, rel. 4, hkl 2 4 -2

Atomic structure:
```
data_La2Tb3Dy
_cell_length_a 6.2538
_cell_length_b 6.2874
_cell_length_c 10.8719
_cell_angle_alpha 73.21
_cell_angle_beta 84.74
_cell_angle_gamma 80.26
_space_group_name_H-M_alt 'P -1'
_space_group_IT_number 2
_space_group_name_Hall '-P 1'
loop_
_atom_site_label
_atom_site_type_symbol
_atom_site_fract_x
_atom_site_fract_y
_atom_site_fract_z
_atom_site_occupancy
La1 La 0.1246 0.3746 0.3750 1
La2 La 0.3750 0.1253 0.1247 1
Tb1 Tb 0.1224 0.7088 0.0411 1
Tb2 Tb 0.1278 0.0406 0.7093 1
Tb3 Tb 0.3776 0.7905 0.4590 1
Dy1 Dy 0.3725 0.4593 0.7908 1
```


For La9TbDy4, the PBE geometry in Alexandria gives the computed powder diffraction line list in this record (CuKα).
Neutral-atom scattering factors, no anomalous dispersion.

Most intense lines, 10° ≤ 2θ ≤ 80°, sorted by position:
2θ 21.83, rel. 10, hkl 2 0 1; 2θ 25.65, rel. 9, hkl 2 0 2; 2θ 31.03, rel. 55, hkl 0 0 4; 2θ 31.31, rel. 100, hkl 2 1 2; 2θ 31.81, rel. 39, hkl 3 0 1; 2θ 35.75, rel. 11, hkl 2 2 0; 2θ 44.31, rel. 10, hkl 3 1 3; 2θ 50.56, rel. 23, hkl 3 0 5; 2θ 54.82, rel. 17, hkl 3 3 0; 2θ 55.12, rel. 21, hkl 5 0 2; 2θ 55.36, rel. 11, hkl 2 1 6; 2θ 64.34, rel. 23, hkl 3 3 4

Atomic structure:
```
data_La9TbDy4
_cell_length_a 10.0476
_cell_length_b 10.0476
_cell_length_c 11.5321
_cell_angle_alpha 90.00
_cell_angle_beta 90.00
_cell_angle_gamma 120.00
_space_group_name_H-M_alt 'P 63/m m c'
_space_group_IT_number 194
_space_group_name_Hall '-P 6c 2c'
loop_
_atom_site_label
_atom_site_type_symbol
_atom_site_fract_x
_atom_site_fract_y
_atom_site_fract_z
_atom_site_occupancy
La1 La 0.0789 0.5394 0.2500 1
La2 La 0.2071 0.4141 0.5297 1
Tb1 Tb 0.3333 0.6667 0.7500 1
Dy1 Dy 0.0000 0.0000 0.0000 1
Dy2 Dy 0.1097 0.2194 0.2500 1
```


For La2Tb4Dy5, the PBE geometry in Alexandria gives the computed powder diffraction line list in this record (CuKα).
Neutral-atom scattering factors, no anomalous dispersion.

Most intense lines, 10° ≤ 2θ ≤ 80°, sorted by position:
2θ 23.46, rel. 26, hkl 4 0 -1; 2θ 29.88, rel. 68, hkl 0 2 1; 2θ 30.47, rel. 52, hkl 5 1 0; 2θ 30.84, rel. 100, hkl 2 0 2; 2θ 31.28, rel. 43, hkl 5 1 -1; 2θ 31.55, rel. 28, hkl 4 0 -2; 2θ 31.89, rel. 69, hkl 3 1 -2; 2θ 32.72, rel. 86, hkl 2 2 1; 2θ 32.93, rel. 31, hkl 6 0 0; 2θ 34.65, rel. 31, hkl 4 2 0; 2θ 62.61, rel. 41, hkl 8 2 -3; 2θ 64.25, rel. 37, hkl 2 4 2

Atomic structure:
```
data_La2Tb4Dy5
_cell_length_a 16.5882
_cell_length_b 6.6978
_cell_length_c 6.7485
_cell_angle_alpha 90.00
_cell_angle_beta 100.31
_cell_angle_gamma 90.00
_space_group_name_H-M_alt 'C 1 2/m 1'
_space_group_IT_number 12
_space_group_name_Hall '-C 2y'
loop_
_atom_site_label
_atom_site_type_symbol
_atom_site_fract_x
_atom_site_fract_y
_atom_site_fract_z
_atom_site_occupancy
La1 La 0.1999 0.0000 0.2967 1
Tb1 Tb 0.0864 0.5000 0.4051 1
Tb2 Tb 0.2437 0.0000 0.8052 1
Dy1 Dy 0.0000 0.0000 0.5000 1
Dy2 Dy 0.0880 0.2621 0.9056 1
```


For La2TbDyTh, the PBE geometry in Alexandria gives the computed powder diffraction line list in this record (CuKα).
Neutral-atom scattering factors, no anomalous dispersion.

Most intense lines, 10° ≤ 2θ ≤ 80°, sorted by position:
2θ 10.39, rel. 26, hkl 0 1 0; 2θ 14.22, rel. 19, hkl 1 0 0; 2θ 27.47, rel. 20, hkl 0 0 2; 2θ 30.26, rel. 100, hkl 1 1 -2; 2θ 30.57, rel. 31, hkl 2 1 0; 2θ 31.05, rel. 44, hkl 2 1 -1; 2θ 31.51, rel. 37, hkl 0 3 0; 2θ 33.68, rel. 19, hkl 1 0 2; 2θ 34.75, rel. 35, hkl 1 3 0; 2θ 35.44, rel. 33, hkl 1 2 -2; 2θ 35.72, rel. 19, hkl 2 2 0; 2θ 36.03, rel. 19, hkl 2 1 1

Atomic structure:
```
data_La2TbDyTh
_cell_length_a 6.3607
_cell_length_b 8.5176
_cell_length_c 6.6219
_cell_angle_alpha 90.00
_cell_angle_beta 101.77
_cell_angle_gamma 90.00
_space_group_name_H-M_alt 'P 1 2/c 1'
_space_group_IT_number 13
_space_group_name_Hall '-P 2yc'
loop_
_atom_site_label
_atom_site_type_symbol
_atom_site_fract_x
_atom_site_fract_y
_atom_site_fract_z
_atom_site_occupancy
La1 La 0.2202 0.1758 0.1661 1
Tb1 Tb 0.0000 0.4060 0.7500 1
Dy1 Dy 0.5000 0.1644 0.7500 1
Th1 Th 0.5000 0.5000 0.0000 1
```


For La2TbDyTl2, the PBE geometry in Alexandria gives the computed powder diffraction line list in this record (CuKα).
Neutral-atom scattering factors, no anomalous dispersion.

Most intense lines, 10° ≤ 2θ ≤ 80°, sorted by position:
2θ 25.60, rel. 18, hkl 0 0 2; 2θ 28.96, rel. 30, hkl 0 3 1; 2θ 31.05, rel. 93, hkl 1 0 2; 2θ 31.32, rel. 100, hkl 1 3 0; 2θ 32.28, rel. 85, hkl 1 1 2; 2θ 33.92, rel. 53, hkl 1 3 1; 2θ 34.99, rel. 68, hkl 2 0 0; 2θ 36.74, rel. 26, hkl 0 3 2; 2θ 40.87, rel. 17, hkl 1 3 2; 2θ 46.04, rel. 17, hkl 2 3 1; 2θ 51.64, rel. 20, hkl 2 3 2; 2θ 56.40, rel. 16, hkl 2 2 3

Atomic structure:
```
data_La2TbDyTl2
_cell_length_a 5.1283
_cell_length_b 10.3178
_cell_length_c 6.9598
_cell_angle_alpha 90.00
_cell_angle_beta 90.00
_cell_angle_gamma 90.00
_space_group_name_H-M_alt 'P m c 21'
_space_group_IT_number 26
_space_group_name_Hall 'P 2c -2'
loop_
_atom_site_label
_atom_site_type_symbol
_atom_site_fract_x
_atom_site_fract_y
_atom_site_fract_z
_atom_site_occupancy
La1 La 0.0000 0.0605 0.0000 1
La2 La 0.5000 0.1781 0.2204 1
Tb1 Tb 0.5000 0.4578 0.8669 1
Dy1 Dy 0.0000 0.3078 0.5797 1
Tl1 Tl 0.0000 0.3885 0.1278 1
Tl2 Tl 0.5000 0.1494 0.7072 1
```


For La3TbDyTm, the PBE geometry in Alexandria gives the computed powder diffraction line list in this record (CuKα).
Neutral-atom scattering factors, no anomalous dispersion.

Most intense lines, 10° ≤ 2θ ≤ 80°, sorted by position:
2θ 30.07, rel. 100, hkl 3 0 1; 2θ 34.86, rel. 51, hkl 3 1 -1; 2θ 50.10, rel. 24, hkl 0 2 0; 2θ 50.19, rel. 12, hkl 3 1 3; 2θ 59.55, rel. 32, hkl 3 2 1; 2θ 59.65, rel. 11, hkl 6 1 0; 2θ 62.47, rel. 9, hkl 0 2 4; 2θ 62.65, rel. 3, hkl 6 0 2; 2θ 73.62, rel. 6, hkl 6 2 -2

Atomic structure:
```
data_La3TbDyTm
_cell_length_a 10.9090
_cell_length_b 3.6426
_cell_length_c 10.9269
_cell_angle_alpha 90.00
_cell_angle_beta 109.60
_cell_angle_gamma 90.00
_space_group_name_H-M_alt 'P 1 21/m 1'
_space_group_IT_number 11
_space_group_name_Hall '-P 2yb'
loop_
_atom_site_label
_atom_site_type_symbol
_atom_site_fract_x
_atom_site_fract_y
_atom_site_fract_z
_atom_site_occupancy
La1 La 0.0427 0.2500 0.3698 1
La2 La 0.2943 0.7500 0.6231 1
La3 La 0.4535 0.7500 0.1250 1
Tb1 Tb 0.2047 0.2500 0.8802 1
Dy1 Dy 0.3734 0.2500 0.3721 1
Tm1 Tm 0.1227 0.7500 0.1206 1
```